The following is a simulated PXRD pattern of Ba4Hg3Bi. It was derived from a cell relaxed with GGA-PBE, using copper Kα.
Kinematic intensities with the Lorentz-polarization factor, no thermal factor.

Crystal structure
```
Ba4Hg3Bi
1.0
9.056 -2.997 0.000
9.056 2.997 0.000
-1.974 0.000 5.657
Ba Hg Bi
4 3 1
Cartesian
2.049 0.000 0.719
6.018 0.000 2.107
10.119 0.000 3.550
14.088 0.000 4.939
3.098 0.000 4.255
9.056 0.000 0.000
13.039 0.000 1.402
-0.987 0.000 2.829
```

Top 6 peaks for 10° ≤ 2θ ≤ 90°, in order of rising 2θ:
- 29.68°, I = 100
- 29.82°, I = 50
- 42.68°, I = 19
- 52.59°, I = 20
- 52.85°, I = 40
- 70.20°, I = 13

The following is a simulated PXRD pattern of Ba2HgBi2. It was derived from a cell relaxed with GGA-PBE, using copper Kα.
Kinematic intensities with the Lorentz-polarization factor, no thermal factor.

Crystal structure
```
Ba2HgBi2
1.0
10.084 0.000 0.000
0.000 8.799 0.000
0.000 0.000 9.254
Ba Hg Bi
8 4 8
Cartesian
1.075 2.200 0.000
1.075 2.200 4.627
3.658 6.599 0.000
3.658 6.599 4.627
6.426 2.200 0.000
6.426 2.200 4.627
9.009 6.599 0.000
9.009 6.599 4.627
3.853 0.740 2.314
3.853 3.659 6.941
6.231 5.140 2.314
6.231 8.059 6.941
1.280 5.067 6.941
1.280 8.132 2.314
3.607 0.698 6.941
3.607 3.701 2.314
6.477 5.098 6.941
6.477 8.100 2.314
8.804 0.667 6.941
8.804 3.732 2.314
```

Top 6 peaks for 10° ≤ 2θ ≤ 90°, in order of rising 2θ:
- 28.04°, I = 100
- 35.41°, I = 42
- 35.61°, I = 25
- 38.93°, I = 18
- 45.89°, I = 17
- 53.63°, I = 27

The following is a simulated PXRD pattern of Ba2Hg5Bi3. It was derived from a cell relaxed with GGA-PBE, using copper Kα.
Kinematic intensities with the Lorentz-polarization factor, no thermal factor.

Crystal structure
```
Ba2Hg5Bi3
1.0
-5.882 7.870 3.624
5.882 -7.870 3.624
5.882 7.870 -3.624
Ba Hg Bi
4 10 6
Cartesian
2.830 1.978 0.000
2.830 -1.978 3.624
3.051 9.848 0.000
3.051 5.892 3.624
5.882 -3.763 1.812
4.592 -5.668 3.624
5.882 0.000 1.812
4.592 5.668 0.000
5.882 3.763 1.812
0.000 4.107 1.812
1.290 2.202 3.624
0.000 7.870 1.812
1.290 13.538 0.000
0.000 11.633 1.812
7.543 1.891 0.000
0.000 0.000 1.812
1.661 5.979 0.000
4.221 1.891 3.624
0.000 0.000 5.436
-1.661 5.979 3.624
```

Top 6 peaks for 10° ≤ 2θ ≤ 90°, in order of rising 2θ:
- 27.27°, I = 57
- 28.25°, I = 59
- 28.94°, I = 50
- 33.62°, I = 100
- 38.20°, I = 34
- 39.46°, I = 33

The following is a simulated PXRD pattern of BaHg2Bi2. It was derived from a cell relaxed with GGA-PBE, using copper Kα.
Kinematic intensities with the Lorentz-polarization factor, no thermal factor.

Crystal structure
```
BaHg2Bi2
1.0
6.277 0.000 0.000
0.000 5.323 0.000
-1.043 0.000 10.463
Ba Hg Bi
2 4 4
Cartesian
1.042 1.331 2.352
4.192 3.992 8.111
-0.224 3.992 4.540
1.651 3.992 0.073
3.583 1.331 10.391
5.458 1.331 5.923
0.699 1.331 8.862
2.329 1.331 6.046
2.905 3.992 4.417
4.534 3.992 1.601
```

Top 6 peaks for 10° ≤ 2θ ≤ 90°, in order of rising 2θ:
- 26.95°, I = 50
- 30.65°, I = 84
- 30.68°, I = 79
- 33.67°, I = 100
- 36.18°, I = 57
- 46.19°, I = 53

The following is a simulated PXRD pattern of BaHgBi. It was derived from a cell relaxed with GGA-PBE, using copper Kα.
Kinematic intensities with the Lorentz-polarization factor, no thermal factor.

Crystal structure
```
BaHgBi
1.0
5.102 0.000 0.000
-2.551 4.418 0.000
0.000 0.000 4.967
Ba Hg Bi
1 1 1
Cartesian
0.000 0.000 0.000
0.000 2.945 3.096
2.551 1.473 2.230
```

Top 6 peaks for 10° ≤ 2θ ≤ 90°, in order of rising 2θ:
- 17.86°, I = 16
- 27.01°, I = 100
- 35.18°, I = 58
- 41.72°, I = 26
- 44.91°, I = 26
- 58.29°, I = 24

The following is a simulated PXRD pattern of BaNa2Hg2Bi2. It was derived from a cell relaxed with GGA-PBE, using copper Kα.
Kinematic intensities with the Lorentz-polarization factor, no thermal factor.

Crystal structure
```
BaNa2Hg2Bi2
1.0
2.576 1.487 9.476
-2.576 1.487 9.476
0.000 -2.974 9.476
Ba Na Hg Bi
1 2 2 2
Cartesian
0.000 0.000 0.000
0.000 0.000 4.034
0.000 0.000 24.395
0.000 0.000 12.724
0.000 0.000 15.705
0.000 0.000 7.362
0.000 0.000 21.067
```

Top 6 peaks for 10° ≤ 2θ ≤ 90°, in order of rising 2θ:
- 18.73°, I = 22
- 23.55°, I = 94
- 29.75°, I = 56
- 34.83°, I = 100
- 37.51°, I = 36
- 40.33°, I = 32